Diffraction record for KSr3Pd. The X-ray powder pattern is computed, not measured: it uses a DFT-relaxed cell (PBE, OQMD) and Cu Kα, 1.54184 Å.
Lines closer than 0.1° are merged.

Principal peaks in the range 2θ from 15° to 90°, low angle first:
(1 0 1), 2θ 22.32, rel. 19
(1 1 0), 2θ 24.73, rel. 33
(0 1 2), 2θ 24.85, rel. 31
(1 0 2), 2θ 28.41, rel. 100
(0 2 0), 2θ 29.28, rel. 47
(1 1 2), 2θ 32.04, rel. 20
(2 0 0), 2θ 40.46, rel. 19
(0 0 4), 2θ 40.76, rel. 17
(1 2 2), 2θ 41.25, rel. 71
(2 2 0), 2θ 50.72, rel. 20
(0 2 4), 2θ 50.97, rel. 18
(1 4 2), 2θ 68.37, rel. 18

Structural model:
Cell: 4.4593 6.1004 8.8552 Å, 90.00 90.00 90.00°
Space group Pmmm (No. 47)
Unique sites:
1 K 0.0000 0.0000 0.0000
2 Sr 0.0000 0.0000 0.5000
3 Sr 0.5000 0.5000 0.2694
4 Pd 0.0000 0.5000 0.5000